# La6Cd5
Simulated powder diffractogram, λ = 1.5418 Å (Cu Kα). Input: a cell relaxed with GGA-PBE.
Neutral-atom scattering factors, no anomalous dispersion.

Main lines, by intensity (10 to 90 degrees two-theta):
index, two_theta, I/Imax
1 2 3, 32.40, 100
2 0 0, 32.88, 24
0 0 6, 32.99, 23
2 4 0, 57.44, 18
3 2 3, 58.39, 18
2 0 6, 47.26, 17

Cell: 5.4487 7.9466 16.2922 Å, 90.00 90.00 90.00°
Space group Immm (No. 71)
One atom of each set of equivalent atoms:
1 La 0.0000 0.2420 0.0000 (multiplicity 4)
2 La 0.0000 0.2573 0.3400 (multiplicity 8)
3 Cd 0.0000 0.0000 0.1767 (multiplicity 4)
4 Cd 0.0000 0.0000 0.5000 (multiplicity 2)
5 Cd 0.0000 0.5000 0.1689 (multiplicity 4)